The following is a theoretical powder X-ray diffraction pattern of LuPu2Fe. It was derived from a DFT-relaxed cell (PBE, Alexandria), using CuKα.

Principal peaks in the range 10° ≤ 2θ ≤ 80°, in order of rising 2θ:
2θ 29.2, rel. 31, hkl 1 0 1
2θ 31.1, rel. 24, hkl 0 0 3
2θ 34.4, rel. 100, hkl 1 0 2
2θ 38.9, rel. 49, hkl 1 1 0
2θ 41.8, rel. 18, hkl 0 0 4
2θ 50.6, rel. 27, hkl 1 1 3
2θ 60.6, rel. 19, hkl 1 0 5
2θ 67.5, rel. 29, hkl 2 1 2

Cell: 3.275 3.275 8.638 Å, 90.00 90.00 90.00°
Fractional positions:
1 Lu 0.000 0.000 0.000
2 Pu 0.500 0.500 0.304
3 Pu 0.500 0.500 0.696
4 Fe 0.000 0.000 0.500